This entry pairs a crystal structure of NaZn3Ag2 with its calculated powder XRD pattern. Radiation: Cu Kα (weighted mean of Kα1 and Kα2). Structure: a crystal structure in Alexandria, relaxed with PBE.
Kinematic intensities with the Lorentz-polarization factor, no thermal factor.

Atomic structure:
a = 5.3829 Å, b = 5.3829 Å, c = 4.4976 Å
α = 90.00°, β = 90.00°, γ = 120.00°
Space group P6mm (No. 183)
Symmetry-distinct sites (fractional):
Na 0.0000 0.0000 0.0000 x1
Zn 0.0000 0.5000 0.4980 x3
Ag 0.3333 0.6667 0.9980 x2

Peak list (10 most intense, 10 to 80 degrees two-theta, in order of rising 2θ)
| 2theta | I/Imax | h k l |
| --- | --- | --- |
| 19.04 | 77 | 1 0 0 |
| 33.29 | 24 | 1 1 0 |
| 39.00 | 100 | 1 1 1 |
| 40.10 | 32 | 0 0 2 |
| 43.74 | 64 | 2 0 1 |
| 44.74 | 17 | 1 0 2 |
| 53.07 | 12 | 1 1 2 |
| 63.32 | 22 | 3 0 1 |
| 69.90 | 17 | 2 2 0 |
| 72.12 | 15 | 1 1 3 |